The following is a theoretical powder diffraction line list of MgSnRh2. It was derived from DFT lattice parameters and positions (GGA-PBE), using Cu Kα (weighted mean of Kα1 and Kα2).
Neutral-atom scattering factors, no anomalous dispersion.

Crystal structure
Lattice parameters (Å, degrees): 6.3541 6.3541 6.3541 90.00 90.00 90.00
Atoms (fractional coordinates):
Mg 0.0000 0.0000 0.0000
Mg 0.0000 0.5000 0.5000
Mg 0.5000 0.0000 0.5000
Mg 0.5000 0.5000 0.0000
Sn 0.0000 0.0000 0.5000
Sn 0.0000 0.5000 0.0000
Sn 0.5000 0.0000 0.0000
Sn 0.5000 0.5000 0.5000
Rh 0.2500 0.2500 0.2500
Rh 0.2500 0.2500 0.7500
Rh 0.2500 0.7500 0.2500
Rh 0.2500 0.7500 0.7500
Rh 0.7500 0.2500 0.2500
Rh 0.7500 0.2500 0.7500
Rh 0.7500 0.7500 0.2500
Rh 0.7500 0.7500 0.7500

Peak list (10 most intense, 15 to 90 degrees two-theta, sorted by position)
d 3.669, I = 17, hkl 1 1 1; d 3.177, I = 4, hkl 2 0 0; d 2.247, I = 100, hkl 2 2 0; d 1.916, I = 9, hkl 3 1 1; d 1.589, I = 17, hkl 4 0 0; d 1.458, I = 4, hkl 3 3 1; d 1.421, I = 1, hkl 4 2 0; d 1.297, I = 34, hkl 4 2 2; d 1.223, I = 3, hkl 5 1 1; d 1.123, I = 11, hkl 4 4 0